Entry 1:
Simulated XRD peak list of Ba2CaCuHg2O6 for CuKα, from DFT lattice parameters and positions (PBE).
Kinematic intensities with the Lorentz-polarization factor, no thermal factor.

Atomic structure:
```
Ba2CaCuHg2O6
1.0
4.264 0.000 0.000
0.000 4.264 0.000
0.000 0.000 12.031
Ba Ca Cu Hg O
2 1 1 2 6
direct
0.000 0.000 0.195
0.000 0.000 0.805
0.000 0.000 0.500
0.500 0.500 0.000
0.500 0.500 0.361
0.500 0.500 0.639
0.000 0.500 0.371
0.000 0.500 0.629
0.500 0.000 0.371
0.500 0.000 0.629
0.500 0.500 0.150
0.500 0.500 0.850
```

Main lines, by angle (2θ from 15° to 90°):
- 2θ = 22.12°, I 26
- 2θ = 29.63°, I 75
- 2θ = 30.60°, I 100
- 2θ = 36.56°, I 26
- 2θ = 42.40°, I 39
- 2θ = 48.37°, I 18
- 2θ = 53.19°, I 42
- 2θ = 57.20°, I 14
- 2θ = 69.75°, I 14
- 2θ = 85.65°, I 16


Entry 2:
Simulated XRD peak list of Ba2Ca3Cu4HgO10 for CuKα, from DFT lattice parameters and positions (PBE).
Kinematic intensities with the Lorentz-polarization factor, no thermal factor.

Atomic structure:
```
Ba2Ca3Cu4HgO10
1.0
3.892 0.000 0.000
0.000 3.892 0.000
0.000 0.000 19.475
Ba Ca Cu Hg O
2 3 4 1 10
direct
0.000 0.000 0.154
0.000 0.000 0.846
0.000 0.000 0.335
0.000 0.000 0.500
0.000 0.000 0.665
0.500 0.500 0.258
0.500 0.500 0.417
0.500 0.500 0.583
0.500 0.500 0.742
0.500 0.500 0.000
0.000 0.500 0.255
0.000 0.500 0.418
0.000 0.500 0.582
0.000 0.500 0.745
0.500 0.000 0.255
0.500 0.000 0.418
0.500 0.000 0.582
0.500 0.000 0.745
0.500 0.500 0.103
0.500 0.500 0.897
```

Main lines, by angle (2θ from 15° to 90°):
- 2θ = 24.64°, I 29
- 2θ = 26.71°, I 77
- 2θ = 29.38°, I 65
- 2θ = 32.17°, I 23
- 2θ = 32.54°, I 100
- 2θ = 36.03°, I 41
- 2θ = 46.41°, I 19
- 2θ = 46.68°, I 49
- 2θ = 54.59°, I 22
- 2θ = 56.12°, I 22


Entry 3:
Simulated XRD peak list of Ba4Ca4Cu6Hg2O17 for CuKα, from DFT lattice parameters and positions (PBE).
Kinematic intensities with the Lorentz-polarization factor, no thermal factor.

Atomic structure:
```
Ba4Ca4Cu6Hg2O17
1.0
-2.733 2.733 16.182
2.733 -2.733 16.182
2.733 2.733 -16.182
Ba Ca Cu Hg O
4 4 6 2 17
direct
0.083 0.083 0.000
0.412 0.412 0.000
0.588 0.588 0.000
0.917 0.917 0.000
0.198 0.198 0.000
0.301 0.301 0.000
0.699 0.699 0.000
0.802 0.802 0.000
0.150 0.650 0.500
0.250 0.750 0.500
0.350 0.850 0.500
0.650 0.150 0.500
0.750 0.250 0.500
0.850 0.350 0.500
0.000 0.500 0.500
0.500 0.000 0.500
0.000 0.000 0.000
0.000 0.000 0.500
0.000 0.500 0.000
0.064 0.564 0.500
0.099 0.099 0.503
0.099 0.596 0.000
0.404 0.404 0.503
0.404 0.901 0.000
0.436 0.936 0.500
0.500 0.000 0.000
0.500 0.500 0.500
0.564 0.064 0.500
0.596 0.099 0.000
0.596 0.596 0.497
0.901 0.404 0.000
0.901 0.901 0.497
0.936 0.436 0.500
```

Main lines, by angle (2θ from 15° to 90°):
- 2θ = 25.55°, I 48
- 2θ = 28.41°, I 100
- 2θ = 32.03°, I 75
- 2θ = 32.77°, I 87
- 2θ = 33.23°, I 48
- 2θ = 36.20°, I 22
- 2θ = 47.03°, I 50
- 2θ = 47.36°, I 29
- 2θ = 55.86°, I 31
- 2θ = 58.04°, I 28


Entry 4:
Simulated XRD peak list of Ba2Ca2Cu3HgO8 for CuKα, from DFT lattice parameters and positions (PBE).
Kinematic intensities with the Lorentz-polarization factor, no thermal factor.

Atomic structure:
```
Ba2Ca2Cu3HgO8
1.0
3.896 0.000 0.000
0.000 3.896 0.000
0.000 0.000 16.264
Ba Ca Cu Hg O
2 2 3 1 8
direct
0.000 0.000 0.185
0.000 0.000 0.815
0.000 0.000 0.401
0.000 0.000 0.599
0.500 0.500 0.309
0.500 0.500 0.500
0.500 0.500 0.691
0.500 0.500 0.000
0.000 0.500 0.305
0.000 0.500 0.500
0.000 0.500 0.695
0.500 0.000 0.305
0.500 0.000 0.500
0.500 0.000 0.695
0.500 0.500 0.124
0.500 0.500 0.876
```

Main lines, by angle (2θ from 15° to 90°):
- 2θ = 25.35°, I 64
- 2θ = 28.20°, I 100
- 2θ = 31.81°, I 39
- 2θ = 32.50°, I 80
- 2θ = 33.02°, I 37
- 2θ = 35.97°, I 30
- 2θ = 43.02°, I 23
- 2θ = 46.62°, I 46
- 2θ = 47.02°, I 23
- 2θ = 55.38°, I 31